Mg6FeCO8: computed powder diffractogram (Cu Kα (λ = 1.5418 Å)), based on a cell relaxed with GGA+U.
Lines closer than 0.1° are merged.

Largest 10 diffraction maxima, sorted by position, 2θ from 5° to 70°:
10.31°, I = 23; 23.46°, I = 19; 31.69°, I = 11; 36.63°, I = 22; 37.97°, I = 6; 42.11°, I = 52; 42.78°, I = 100; 49.36°, I = 5; 61.58°, I = 56; 62.10°, I = 28

Atomic structure:
```
Mg6FeCO8
1.0
4.228 0.000 0.000
0.000 4.228 0.000
0.000 0.000 8.584
Mg Fe C O
6 1 1 8
Cartesian
0.000 0.000 0.000
0.000 0.000 4.292
0.000 2.114 2.081
0.000 2.114 6.502
2.114 0.000 2.081
2.114 0.000 6.502
2.114 2.114 4.292
2.114 2.114 0.000
0.000 0.000 2.141
0.000 0.000 6.442
0.000 2.114 0.000
0.000 2.114 4.292
2.114 0.000 0.000
2.114 0.000 4.292
2.114 2.114 2.141
2.114 2.114 6.442
```


Li5Co2O6: computed powder diffractogram (Cu Kα (λ = 1.5418 Å)), based on a cell relaxed with GGA+U.
Lines closer than 0.1° are merged.

Largest 10 diffraction maxima, sorted by position, 2θ from 5° to 70°:
16.30°, I = 29; 18.10°, I = 100; 18.43°, I = 26; 24.36°, I = 29; 24.51°, I = 40; 24.91°, I = 68; 25.06°, I = 41; 32.76°, I = 41; 32.94°, I = 26; 37.99°, I = 26

Atomic structure:
```
Li5Co2O6
1.0
5.439 0.000 0.000
0.087 5.468 0.000
0.006 2.640 4.901
Li Co O
5 2 6
Cartesian
0.000 0.000 0.000
0.138 3.743 1.918
2.499 4.853 1.133
4.056 5.383 4.838
4.279 1.072 1.870
1.346 6.387 3.350
2.993 2.906 3.377
0.540 6.053 4.877
0.713 5.621 1.868
1.055 2.787 3.297
3.193 6.360 3.397
3.635 0.745 0.079
3.665 3.393 1.813
```


KCoF4: computed powder diffractogram (Cu Kα (λ = 1.5418 Å)), based on a cell relaxed with GGA+U.
Lines closer than 0.1° are merged.

Largest 10 diffraction maxima, sorted by position, 2θ from 5° to 70°:
15.06°, I = 25; 23.06°, I = 24; 27.66°, I = 100; 32.84°, I = 26; 38.20°, I = 14; 40.30°, I = 12; 45.36°, I = 12; 47.06°, I = 13; 52.35°, I = 20; 55.52°, I = 28

Atomic structure:
```
KCoF4
1.0
7.702 0.000 0.000
0.000 7.724 0.000
0.000 0.000 5.881
K Co F
4 4 16
Cartesian
0.000 0.000 0.037
0.000 3.862 0.400
3.851 0.000 5.481
3.851 3.862 5.844
1.868 1.909 2.941
1.983 5.771 2.940
5.720 1.953 2.940
5.834 5.815 2.941
0.075 5.917 2.320
1.353 2.275 4.637
1.567 5.312 4.651
1.904 7.686 3.522
1.948 3.824 2.359
2.284 1.450 1.231
2.498 6.137 1.244
3.776 2.055 3.561
3.926 5.669 3.561
5.205 1.587 1.244
5.418 6.274 1.231
5.755 3.900 2.359
5.799 0.038 3.522
6.135 2.412 4.651
6.349 5.449 4.637
7.627 1.807 2.320
```


MgV2O4: computed powder diffractogram (Cu Kα (λ = 1.5418 Å)), based on a cell relaxed with GGA+U.
Lines closer than 0.1° are merged.

Largest 10 diffraction maxima, sorted by position, 2θ from 5° to 70°:
8.67°, I = 44; 17.40°, I = 100; 26.22°, I = 16; 33.75°, I = 24; 34.38°, I = 15; 40.47°, I = 27; 43.36°, I = 19; 46.08°, I = 16; 46.27°, I = 14; 60.02°, I = 14

Atomic structure:
```
MgV2O4
1.0
3.047 0.000 0.000
1.496 2.674 0.000
0.613 1.253 10.196
Mg V O
1 2 4
Cartesian
0.000 0.000 0.000
3.594 2.995 7.604
4.312 2.473 2.730
1.277 0.682 3.514
2.122 2.137 9.013
2.974 1.726 1.244
3.606 1.211 6.810
```


KCr2PbF9: computed powder diffractogram (Cu Kα (λ = 1.5418 Å)), based on a cell relaxed with GGA+U.
Lines closer than 0.1° are merged.

Largest 10 diffraction maxima, sorted by position, 2θ from 5° to 70°:
10.80°, I = 68; 17.20°, I = 64; 22.20°, I = 40; 24.76°, I = 100; 26.30°, I = 40; 29.55°, I = 38; 30.58°, I = 28; 30.83°, I = 29; 31.93°, I = 36; 45.31°, I = 37

Atomic structure:
```
KCr2PbF9
1.0
10.016 0.000 0.000
0.000 5.532 0.000
0.000 0.000 14.233
K Cr Pb F
4 8 4 36
Cartesian
2.305 1.383 2.854
2.703 4.149 9.970
7.312 1.383 4.263
7.711 4.149 11.379
0.666 1.383 12.022
2.315 4.149 14.123
2.692 1.383 7.007
4.342 4.149 4.906
5.673 1.383 9.327
7.323 4.149 7.226
7.700 1.383 0.109
9.350 4.149 2.210
0.524 4.149 5.532
4.484 1.383 12.648
5.532 4.149 1.584
9.492 1.383 8.701
0.158 0.076 10.699
0.158 2.690 10.699
1.173 0.009 13.337
1.173 2.757 13.337
1.190 4.149 1.522
1.521 1.383 5.496
1.543 0.050 7.820
1.543 2.716 7.820
2.449 1.383 11.300
2.559 4.149 4.184
3.465 2.816 0.703
3.465 5.482 0.703
3.487 4.149 12.612
3.818 1.383 8.638
3.835 2.775 6.220
3.835 5.523 6.220
4.850 2.842 3.583
4.850 5.456 3.583
5.165 0.076 10.650
5.165 2.690 10.650
6.181 0.009 8.012
6.181 2.757 8.012
6.198 4.149 5.595
6.529 1.383 1.621
6.551 0.050 13.529
6.551 2.716 13.529
7.456 1.383 10.049
7.567 4.149 2.933
8.473 2.816 6.413
8.473 5.482 6.413
8.495 4.149 8.737
8.826 1.383 12.711
8.843 2.775 0.896
8.843 5.523 0.896
9.858 2.842 3.534
9.858 5.456 3.534
```


Li6MnNi7O16: computed powder diffractogram (Cu Kα (λ = 1.5418 Å)), based on a cell relaxed with GGA+U.
Lines closer than 0.1° are merged.

Largest 10 diffraction maxima, sorted by position, 2θ from 5° to 70°:
18.46°, I = 100; 35.67°, I = 16; 37.26°, I = 22; 42.94°, I = 23; 44.91°, I = 19; 45.04°, I = 19; 48.38°, I = 12; 64.15°, I = 11; 64.28°, I = 6; 66.83°, I = 7

Atomic structure:
```
Li6MnNi7O16
1.0
6.416 0.000 0.000
-3.099 6.913 0.000
-2.016 -2.198 12.356
Li Mn Ni O
12 2 14 32
Cartesian
0.000 0.000 0.000
-2.855 0.725 11.672
-0.901 -0.839 10.068
-1.516 1.883 9.313
-2.239 4.678 8.589
-0.372 3.175 6.962
2.071 -0.951 6.216
1.422 1.711 5.492
3.308 0.194 3.917
2.667 3.057 3.141
2.081 5.661 2.357
4.440 1.566 1.559
0.041 3.642 1.992
2.243 2.527 8.183
-3.025 3.803 5.819
-0.513 -0.345 5.076
-1.170 2.378 4.285
-1.770 5.110 3.546
0.676 0.919 2.749
-0.621 6.366 1.198
1.887 2.198 0.456
-0.801 2.716 12.010
1.685 -1.471 11.256
1.036 1.278 10.472
0.419 4.016 9.706
2.846 -0.199 8.926
1.604 5.264 7.381
4.110 1.103 6.640
-1.137 0.736 3.353
-1.805 0.025 8.337
-1.735 3.305 2.740
-2.355 2.742 7.602
-2.374 6.192 1.853
-3.040 5.427 6.754
0.041 1.985 1.023
-0.579 1.447 5.823
-0.498 4.567 0.412
-1.241 4.006 5.236
-0.123 -1.630 11.915
1.271 -0.103 4.498
-0.746 1.065 11.081
0.587 2.607 3.614
-1.331 3.820 10.267
-0.012 5.329 2.893
1.104 -0.425 9.618
2.468 1.157 2.172
0.423 2.409 8.760
1.823 3.845 1.431
-0.148 4.970 8.099
1.160 6.555 0.604
2.293 0.875 7.197
1.667 0.164 12.165
1.662 3.467 6.585
0.906 3.050 11.232
4.121 -0.516 5.714
3.517 -1.273 10.641
3.485 2.160 4.880
2.798 1.519 9.766
2.890 4.910 4.114
2.195 4.220 9.080
```


Fe2CoO6: computed powder diffractogram (Cu Kα (λ = 1.5418 Å)), based on a cell relaxed with GGA+U.
Lines closer than 0.1° are merged.

Largest 10 diffraction maxima, sorted by position, 2θ from 5° to 70°:
29.59°, I = 100; 29.90°, I = 52; 32.11°, I = 22; 37.36°, I = 40; 37.65°, I = 19; 38.88°, I = 16; 48.34°, I = 22; 56.82°, I = 47; 57.21°, I = 28; 67.76°, I = 21

Atomic structure:
```
Fe2CoO6
1.0
7.169 -4.179 0.000
7.169 4.179 0.000
-0.055 0.000 4.358
Fe Co O
6 3 18
Cartesian
0.000 0.000 0.000
2.526 -1.072 2.155
4.845 0.296 4.349
9.437 0.296 0.009
7.141 -1.324 2.179
11.755 -1.072 2.203
7.141 1.583 2.179
4.776 -2.532 0.020
9.506 -2.532 4.338
1.636 0.286 1.005
3.942 1.621 0.971
6.312 2.895 1.192
3.284 0.361 3.334
5.592 1.645 3.240
7.970 2.895 3.166
8.690 1.645 1.117
6.404 0.228 1.135
4.142 -1.102 1.000
7.878 0.228 3.223
5.489 -1.170 3.361
10.339 1.621 3.387
10.998 0.361 1.024
8.793 -1.170 0.997
6.278 -2.680 1.050
10.140 -1.102 3.357
12.646 0.286 3.353
8.004 -2.680 3.307
```